# Ce2SiAg3
Computed X-ray diffraction stick pattern, CuKα. Input: a cell relaxed with GGA-PBE.

Most intense lines, 2θ = 10–80°, in order of rising 2θ:
two_theta  Rel. int.
34.38  100
37.91  51
38.14  25
52.00  10
52.24  19
54.29  8
66.13  9
66.29  9
66.55  10
68.12  16
68.29  12
68.78  8

Crystal structure
```
Ce2SiAg3
1.0
0.000 4.719 8.237
3.380 0.000 8.237
3.380 4.719 0.000
Ce Si Ag
4 2 6
direct
0.223 0.777 0.777
0.250 0.250 0.250
0.750 0.750 0.750
0.777 0.223 0.223
0.335 0.335 0.665
0.665 0.665 0.335
0.171 0.171 0.829
0.177 0.653 0.347
0.347 0.823 0.177
0.653 0.177 0.823
0.823 0.347 0.653
0.829 0.829 0.171
```

# Tl5HgAu
Computed X-ray diffraction stick pattern, CuKα. Input: a cell relaxed with GGA-PBE.

Most intense lines, 2θ = 10–80°, in order of rising 2θ:
two_theta  Rel. int.
29.70  62
29.96  51
30.34  88
31.05  65
31.43  21
31.70  100
33.59  33
36.45  32
40.02  37
47.07  25
48.56  27
65.60  17

Crystal structure
```
Tl5HgAu
1.0
4.862 -3.838 0.000
4.862 3.838 0.000
-3.833 0.000 11.132
Tl Hg Au
10 2 2
direct
0.003 0.997 0.750
0.050 0.461 0.139
0.218 0.514 0.448
0.461 0.050 0.639
0.486 0.782 0.052
0.514 0.218 0.948
0.539 0.950 0.361
0.782 0.486 0.552
0.950 0.539 0.861
0.997 0.003 0.250
0.418 0.582 0.750
0.582 0.418 0.250
0.000 0.000 0.000
0.000 0.000 0.500
```

# K3Pd3PtO8
Computed X-ray diffraction stick pattern, CuKα. Input: a cell relaxed with GGA-PBE.

Most intense lines, 2θ = 10–80°, in order of rising 2θ:
two_theta  Rel. int.
14.97  100
16.40  11
28.22  19
30.20  30
31.71  22
32.46  35
32.97  17
33.15  37
39.39  44
50.95  16
52.91  17
58.36  15

Crystal structure
```
K3Pd3PtO8
1.0
6.328 -3.099 0.000
6.328 3.099 0.000
-3.327 0.000 5.918
K Pd Pt O
3 3 1 8
direct
0.000 0.000 0.000
0.000 0.500 0.000
0.500 0.000 0.000
0.000 0.500 0.500
0.500 0.000 0.500
0.500 0.500 0.500
0.000 0.000 0.500
0.184 0.184 0.611
0.230 0.730 0.293
0.270 0.770 0.707
0.311 0.311 0.383
0.689 0.689 0.617
0.730 0.230 0.293
0.770 0.270 0.707
0.816 0.816 0.389
```

# TcNi2Sb
Computed X-ray diffraction stick pattern, CuKα. Input: a cell relaxed with GGA-PBE.

Most intense lines, 2θ = 10–80°, in order of rising 2θ:
two_theta  Rel. int.
28.45  15
36.59  24
38.52  12
42.56  100
42.73  32
44.27  40
57.49  12
58.87  7
64.58  9
68.43  14
78.13  16
79.33  7

Crystal structure
```
TcNi2Sb
1.0
2.886 0.000 0.000
0.000 4.232 0.000
0.000 0.000 4.674
Tc Ni Sb
1 2 1
direct
0.000 0.000 0.000
0.500 0.000 0.534
0.500 0.500 0.837
0.000 0.500 0.363
```

# La5Tm3Se8
Computed X-ray diffraction stick pattern, CuKα. Input: a cell relaxed with GGA-PBE.

Most intense lines, 2θ = 10–80°, in order of rising 2θ:
two_theta  Rel. int.
26.06  13
30.05  100
42.74  37
43.30  37
52.64  6
53.61  19
62.47  12
70.46  16
71.27  16
77.87  6
79.05  12
79.44  6

Crystal structure
```
La5Tm3Se8
1.0
4.179 2.413 6.954
-4.179 2.413 6.954
0.000 -4.825 6.954
La Tm Se
5 3 8
direct
0.000 0.000 0.000
0.000 0.500 0.500
0.500 0.000 0.500
0.500 0.500 0.000
0.500 0.500 0.500
0.000 0.000 0.500
0.000 0.500 0.000
0.500 0.000 0.000
0.232 0.750 0.750
0.242 0.242 0.242
0.250 0.250 0.768
0.250 0.768 0.250
0.750 0.232 0.750
0.750 0.750 0.232
0.758 0.758 0.758
0.768 0.250 0.250
```

# Sc4ZnCd2
Computed X-ray diffraction stick pattern, CuKα. Input: a cell relaxed with GGA-PBE.

Most intense lines, 2θ = 10–80°, in order of rising 2θ:
two_theta  Rel. int.
11.20  14
22.40  39
22.51  14
25.95  16
36.96  100
37.10  98
43.69  21
53.37  32
66.66  47
66.97  15
78.68  10
79.03  9

Crystal structure
```
Sc4ZnCd2
1.0
2.432 1.404 7.899
-2.432 1.404 7.899
0.000 -2.809 7.899
Sc Zn Cd
4 1 2
direct
0.122 0.122 0.122
0.374 0.374 0.374
0.626 0.626 0.626
0.878 0.878 0.878
0.500 0.500 0.500
0.248 0.248 0.248
0.752 0.752 0.752
```

# Pr2HoZn6
Computed X-ray diffraction stick pattern, CuKα. Input: a cell relaxed with GGA-PBE.

Most intense lines, 2θ = 10–80°, in order of rising 2θ:
two_theta  Rel. int.
22.51  17
33.75  100
39.52  57
45.96  3
50.90  9
52.92  27
56.32  3
62.18  2
66.29  24
68.02  25
70.98  2
71.68  9

Crystal structure
```
Pr2HoZn6
1.0
7.899 0.000 0.000
-3.950 6.841 0.000
0.000 0.000 3.588
Pr Ho Zn
2 1 6
direct
0.333 0.667 0.000
0.667 0.333 0.000
0.000 0.000 0.000
0.000 0.328 0.500
0.000 0.672 0.500
0.328 0.000 0.500
0.328 0.328 0.500
0.672 0.000 0.500
0.672 0.672 0.500
```

# Sr4Cd5Hg6
Computed X-ray diffraction stick pattern, CuKα. Input: a cell relaxed with GGA-PBE.

Most intense lines, 2θ = 10–80°, in order of rising 2θ:
two_theta  Rel. int.
22.89  32
23.35  24
27.41  24
29.08  23
29.64  30
31.57  26
31.69  100
33.43  18
35.04  29
36.81  51
38.83  57
43.37  20

Crystal structure
```
Sr4Cd5Hg6
1.0
2.319 -11.900 0.000
2.319 11.900 0.000
0.000 0.000 16.082
Sr Cd Hg
8 10 12
direct
0.028 0.972 0.500
0.048 0.952 0.771
0.145 0.855 0.280
0.190 0.810 0.924
0.810 0.190 0.424
0.855 0.145 0.780
0.952 0.048 0.271
0.972 0.028 0.000
0.160 0.840 0.627
0.319 0.681 0.591
0.328 0.672 0.264
0.356 0.644 0.961
0.457 0.543 0.659
0.543 0.457 0.159
0.644 0.356 0.461
0.672 0.328 0.764
0.681 0.319 0.091
0.840 0.160 0.127
0.100 0.900 0.078
0.220 0.780 0.467
0.256 0.744 0.746
0.418 0.582 0.125
0.421 0.579 0.430
0.455 0.545 0.845
0.545 0.455 0.345
0.579 0.421 0.930
0.582 0.418 0.625
0.744 0.256 0.246
0.780 0.220 0.967
0.900 0.100 0.578
```

# Ho11Er9Sc4
Computed X-ray diffraction stick pattern, CuKα. Input: a cell relaxed with GGA-PBE.

Most intense lines, 2θ = 10–80°, in order of rising 2θ:
two_theta  Rel. int.
30.25  24
30.75  100
31.03  32
31.49  37
31.97  36
33.00  30
33.30  92
33.41  97
33.60  25
51.51  41
61.21  35
62.91  25

Crystal structure
```
Ho11Er9Sc4
1.0
8.193 -12.385 0.000
8.193 12.385 0.000
0.000 0.000 3.548
Ho Er Sc
11 9 4
direct
0.000 0.000 0.000
0.046 0.407 0.000
0.160 0.840 0.000
0.297 0.297 0.000
0.370 0.630 0.000
0.407 0.046 0.000
0.593 0.954 0.000
0.630 0.370 0.000
0.703 0.703 0.000
0.840 0.160 0.000
0.954 0.593 0.000
0.073 0.217 0.500
0.166 0.629 0.500
0.217 0.073 0.500
0.371 0.834 0.500
0.500 0.500 0.500
0.629 0.166 0.500
0.783 0.927 0.500
0.834 0.371 0.500
0.927 0.783 0.500
0.243 0.446 0.500
0.446 0.243 0.500
0.554 0.757 0.500
0.757 0.554 0.500
```

# CuH10C2N2Cl4
Computed X-ray diffraction stick pattern, CuKα. Input: a cell relaxed with GGA-PBE.

Most intense lines, 2θ = 10–80°, in order of rising 2θ:
two_theta  Rel. int.
10.68  100
17.03  47
19.98  46
20.31  32
23.64  31
24.71  22
32.41  19
34.46  60
35.98  20
37.12  23
39.43  15
47.55  14

Crystal structure
```
CuH10C2N2Cl4
1.0
8.290 0.000 0.000
0.000 7.528 0.000
-0.182 0.000 7.206
Cu H C N Cl
2 20 4 4 8
direct
0.000 0.000 0.000
0.000 0.500 0.500
0.183 0.036 0.569
0.183 0.464 0.069
0.248 0.513 0.854
0.248 0.987 0.354
0.266 0.665 0.022
0.266 0.835 0.522
0.429 0.190 0.519
0.429 0.310 0.019
0.447 0.031 0.702
0.447 0.469 0.202
0.553 0.531 0.798
0.553 0.969 0.298
0.571 0.690 0.981
0.571 0.810 0.481
0.734 0.165 0.478
0.734 0.335 0.978
0.752 0.013 0.646
0.752 0.487 0.146
0.817 0.536 0.931
0.817 0.964 0.431
0.433 0.047 0.551
0.433 0.453 0.051
0.567 0.547 0.949
0.567 0.953 0.449
0.273 0.529 0.995
0.273 0.971 0.495
0.727 0.029 0.505
0.727 0.471 0.005
0.045 0.191 0.758
0.045 0.309 0.258
0.277 0.546 0.537
0.277 0.954 0.037
0.723 0.046 0.963
0.723 0.454 0.463
0.955 0.691 0.742
0.955 0.809 0.242
```

# SnGeN2
Computed X-ray diffraction stick pattern, CuKα. Input: a cell relaxed with GGA-PBE.

Most intense lines, 2θ = 10–80°, in order of rising 2θ:
two_theta  Rel. int.
20.65  9
31.35  31
32.78  100
34.83  18
46.52  10
47.56  18
56.72  21
57.17  13
59.40  9
61.15  16
68.72  10
77.47  9

Crystal structure
```
SnGeN2
1.0
5.706 0.000 0.000
0.000 7.809 0.000
0.000 0.000 5.152
Sn Ge N
4 4 8
direct
0.250 0.119 0.000
0.250 0.381 0.500
0.750 0.619 0.500
0.750 0.881 0.000
0.250 0.632 0.947
0.250 0.868 0.447
0.750 0.132 0.447
0.750 0.368 0.947
0.000 0.000 0.296
0.000 0.500 0.796
0.250 0.646 0.304
0.250 0.854 0.804
0.500 0.000 0.296
0.500 0.500 0.796
0.750 0.146 0.804
0.750 0.354 0.304
```

# LiSi5O10
Computed X-ray diffraction stick pattern, CuKα. Input: a cell relaxed with GGA-PBE.

Most intense lines, 2θ = 10–80°, in order of rising 2θ:
two_theta  Rel. int.
12.70  100
13.68  21
18.71  28
22.68  13
27.55  3
28.64  6
29.10  22
30.45  8
31.87  14
41.29  4
49.69  5
52.53  4

Crystal structure
```
LiSi5O10
1.0
6.969 0.000 0.000
0.000 6.969 0.000
0.000 0.000 6.475
Li Si O
1 5 10
direct
0.000 0.000 0.000
0.231 0.500 0.381
0.500 0.231 0.619
0.500 0.500 0.000
0.500 0.769 0.619
0.769 0.500 0.381
0.000 0.500 0.380
0.307 0.500 0.143
0.308 0.308 0.500
0.308 0.692 0.500
0.500 0.000 0.620
0.500 0.307 0.857
0.500 0.693 0.857
0.692 0.308 0.500
0.692 0.692 0.500
0.693 0.500 0.143
```